# MgBeB
Calculated powder diffractogram, Cu Kα. Input: a crystal structure in the Materials Project, relaxed with GGA-PBE.
No peak broadening, texture or thermal motion is included.

Main lines, sorted by position (5 to 70 degrees two-theta):
two_theta, I_rel
29.6, 87
34.3, 55
49.3, 100
58.5, 34
61.4, 14

a b c (Å): 3.6983 3.6983 3.6983
angles (deg): 60.00 60.00 60.00
Element x y z (fractional)
Mg (0.0000, 0.0000, 0.0000)
Be (0.5000, 0.5000, 0.5000)
B (0.2500, 0.2500, 0.2500)

---

# LiTlO2
Calculated powder diffractogram, Cu Kα. Input: a crystal structure in the Materials Project, relaxed with GGA-PBE.
No peak broadening, texture or thermal motion is included.

Main lines, sorted by position (5 to 70 degrees two-theta):
two_theta, I_rel
21.4, 100
33.4, 50
34.8, 28
38.7, 16
38.9, 32
44.8, 30
53.1, 17
56.0, 22
66.9, 16
67.7, 14

a b c (Å): 5.6912 5.6912 5.6912
angles (deg): 131.93 131.93 70.34
Element x y z (fractional)
Li (0.3750, 0.6250, 0.7500)
Li (0.6250, 0.3750, 0.2500)
Tl (0.1250, 0.8750, 0.2500)
Tl (0.8750, 0.1250, 0.7500)
O (0.1184, 0.3684, 0.7500)
O (0.3684, 0.1184, 0.2500)
O (0.6316, 0.8816, 0.7500)
O (0.8816, 0.6316, 0.2500)

---

# Ca5Cr2N6
Calculated powder diffractogram, Cu Kα. Input: a crystal structure in the Materials Project, relaxed with GGA-PBE.
No peak broadening, texture or thermal motion is included.

Main lines, sorted by position (5 to 70 degrees two-theta):
two_theta, I_rel
22.2, 50
28.7, 24
32.2, 58
32.5, 42
33.5, 23
33.8, 31
33.9, 37
34.2, 36
35.9, 100
50.4, 20

a b c (Å): 6.4192 5.0087 6.8895
angles (deg): 90.00 104.29 90.00
Element x y z (fractional)
Ca (0.0000, 0.0000, 0.0000)
Ca (0.0828, 0.0000, 0.4953)
Ca (0.3171, 0.5000, 0.2937)
Ca (0.4070, 0.5000, 0.8319)
Ca (0.6082, 0.0000, 0.5676)
Cr (0.5030, 0.0000, 0.1054)
Cr (0.9156, 0.5000, 0.6922)
N (0.0442, 0.5000, 0.9408)
N (0.0942, 0.5000, 0.5402)
N (0.3250, 0.0000, 0.2686)
N (0.4094, 0.0000, 0.8451)
N (0.6369, 0.5000, 0.6029)
N (0.7656, 0.0000, 0.2208)

---

# InNi22B6
Calculated powder diffractogram, Cu Kα. Input: a crystal structure in the Materials Project, relaxed with GGA-PBE.
No peak broadening, texture or thermal motion is included.

Main lines, sorted by position (5 to 70 degrees two-theta):
two_theta, I_rel
34.3, 3
38.5, 35
42.3, 37
45.0, 100
49.3, 23
51.7, 25
52.5, 9
55.5, 4
57.8, 3
58.5, 10

a b c (Å): 7.3993 7.3993 7.3993
angles (deg): 60.00 60.00 60.00
Element x y z (fractional)
In (0.0000, 0.0000, 0.0000)
Ni (0.0887, 0.4147, 0.7483)
Ni (0.0887, 0.7483, 0.4147)
Ni (0.0887, 0.7483, 0.7483)
Ni (0.1393, 0.1393, 0.1393)
Ni (0.1393, 0.1393, 0.5820)
Ni (0.1393, 0.5820, 0.1393)
Ni (0.3707, 0.3707, 0.3707)
Ni (0.3707, 0.3707, 0.8879)
Ni (0.3707, 0.8879, 0.3707)
Ni (0.4147, 0.0887, 0.7483)
Ni (0.4147, 0.7483, 0.0887)
Ni (0.4147, 0.7483, 0.7483)
Ni (0.5000, 0.5000, 0.5000)
Ni (0.5820, 0.1393, 0.1393)
Ni (0.7483, 0.0887, 0.4147)
Ni (0.7483, 0.0887, 0.7483)
Ni (0.7483, 0.4147, 0.0887)
Ni (0.7483, 0.4147, 0.7483)
Ni (0.7483, 0.7483, 0.0887)
Ni (0.7483, 0.7483, 0.4147)
Ni (0.7500, 0.7500, 0.7500)
Ni (0.8879, 0.3707, 0.3707)
B (0.0229, 0.0229, 0.4771)
B (0.0229, 0.4771, 0.0229)
B (0.0229, 0.4771, 0.4771)
B (0.4771, 0.0229, 0.0229)
B (0.4771, 0.0229, 0.4771)
B (0.4771, 0.4771, 0.0229)

---

# Mg14VC
Calculated powder diffractogram, Cu Kα. Input: a crystal structure in the Materials Project, relaxed with GGA-PBE.
No peak broadening, texture or thermal motion is included.

Main lines, sorted by position (5 to 70 degrees two-theta):
two_theta, I_rel
32.3, 22
33.1, 16
37.0, 29
37.4, 100
38.1, 34
50.0, 10
50.5, 8
57.1, 9
58.7, 13
67.0, 12

a b c (Å): 9.7064 6.2981 6.2981
angles (deg): 61.65 90.00 90.00
Element x y z (fractional)
Mg (0.0000, 0.0000, 0.0000)
Mg (0.0000, 0.0097, 0.4984)
Mg (0.0000, 0.4970, 0.4970)
Mg (0.0000, 0.4984, 0.0097)
Mg (0.2474, 0.6692, 0.6692)
Mg (0.2619, 0.1674, 0.1674)
Mg (0.2818, 0.1635, 0.6912)
Mg (0.2818, 0.6912, 0.1635)
Mg (0.5000, 0.4643, 0.9766)
Mg (0.5000, 0.9766, 0.4643)
Mg (0.7182, 0.1635, 0.6912)
Mg (0.7182, 0.6912, 0.1635)
Mg (0.7381, 0.1674, 0.1674)
Mg (0.7526, 0.6692, 0.6692)
V (0.5000, 0.4977, 0.4977)
C (0.5000, 0.0615, 0.0615)

---

# PrSbIr
Calculated powder diffractogram, Cu Kα. Input: a crystal structure in the Materials Project, relaxed with GGA-PBE.
No peak broadening, texture or thermal motion is included.

Main lines, sorted by position (5 to 70 degrees two-theta):
two_theta, I_rel
25.2, 13
31.9, 52
32.7, 100
37.7, 33
38.9, 53
39.1, 39
51.9, 13
55.4, 22
62.7, 23
70.0, 15

a b c (Å): 7.5007 4.6065 8.0295
angles (deg): 90.00 90.00 90.00
Element x y z (fractional)
Pr (0.0168, 0.2500, 0.1905)
Pr (0.4832, 0.7500, 0.6905)
Pr (0.5168, 0.2500, 0.3095)
Pr (0.9832, 0.7500, 0.8095)
Sb (0.1740, 0.2500, 0.5872)
Sb (0.3260, 0.7500, 0.0872)
Sb (0.6740, 0.2500, 0.9128)
Sb (0.8260, 0.7500, 0.4128)
Ir (0.1997, 0.7500, 0.4080)
Ir (0.3003, 0.2500, 0.9080)
Ir (0.6997, 0.7500, 0.0920)
Ir (0.8003, 0.2500, 0.5920)

---

# Sr2GaP2O8F2
Calculated powder diffractogram, Cu Kα. Input: a crystal structure in the Materials Project, relaxed with GGA-PBE.
No peak broadening, texture or thermal motion is included.

Main lines, sorted by position (5 to 70 degrees two-theta):
two_theta, I_rel
16.5, 42
25.5, 66
26.7, 100
27.8, 32
28.6, 61
29.8, 43
30.0, 77
31.7, 40
31.9, 50
39.6, 42

a b c (Å): 8.2731 7.3682 13.6875
angles (deg): 90.00 106.53 90.00
Element x y z (fractional)
Sr (0.1318, 0.1656, 0.4225)
Sr (0.1318, 0.3344, 0.9225)
Sr (0.3283, 0.6702, 0.5549)
Sr (0.3283, 0.8298, 0.0549)
Sr (0.6717, 0.1702, 0.9451)
Sr (0.6717, 0.3298, 0.4451)
Sr (0.8682, 0.6656, 0.0775)
Sr (0.8682, 0.8344, 0.5775)
Ga (0.2691, 0.5028, 0.2883)
Ga (0.2691, 0.9972, 0.7883)
Ga (0.7309, 0.0028, 0.2117)
Ga (0.7309, 0.4972, 0.7117)
P (0.0395, 0.1975, 0.1300)
P (0.0395, 0.3025, 0.6300)
P (0.4830, 0.6051, 0.8455)
P (0.4830, 0.8949, 0.3455)
P (0.5170, 0.1051, 0.6545)
P (0.5170, 0.3949, 0.1545)
P (0.9605, 0.6975, 0.3700)
P (0.9605, 0.8025, 0.8700)
O (0.0540, 0.6604, 0.9500)
O (0.0540, 0.8396, 0.4500)
O (0.0969, 0.5602, 0.3579)
O (0.0969, 0.9398, 0.8579)
O (0.1205, 0.2069, 0.7344)
O (0.1205, 0.2931, 0.2344)
O (0.1680, 0.1005, 0.0872)
O (0.1680, 0.3995, 0.5872)
O (0.3138, 0.5022, 0.8281)
O (0.3138, 0.9978, 0.3281)
O (0.3758, 0.0290, 0.5672)
O (0.3758, 0.4710, 0.0672)
O (0.4262, 0.7010, 0.3696)
O (0.4262, 0.7990, 0.8696)
O (0.4654, 0.1073, 0.7559)
O (0.4654, 0.3927, 0.2559)
O (0.5346, 0.6073, 0.7441)
O (0.5346, 0.8927, 0.2441)
O (0.5738, 0.2010, 0.1304)
O (0.5738, 0.2990, 0.6304)
O (0.6242, 0.5290, 0.9328)
O (0.6242, 0.9710, 0.4328)
O (0.6862, 0.0022, 0.6719)
O (0.6862, 0.4978, 0.1719)
O (0.8320, 0.6005, 0.4128)
O (0.8320, 0.8995, 0.9128)
O (0.8795, 0.7069, 0.7656)
O (0.8795, 0.7931, 0.2656)
O (0.9031, 0.0602, 0.1421)
O (0.9031, 0.4398, 0.6421)
O (0.9460, 0.1604, 0.5500)
O (0.9460, 0.3396, 0.0500)
F (0.1841, 0.6636, 0.1770)
F (0.1841, 0.8364, 0.6770)
F (0.3663, 0.1238, 0.9210)
F (0.3663, 0.3762, 0.4210)
F (0.6337, 0.6238, 0.5790)
F (0.6337, 0.8762, 0.0790)
F (0.8159, 0.1636, 0.3230)
F (0.8159, 0.3364, 0.8230)

---

# NaLuP2H2CO7
Calculated powder diffractogram, Cu Kα. Input: a crystal structure in the Materials Project, relaxed with GGA-PBE.
No peak broadening, texture or thermal motion is included.

Main lines, sorted by position (5 to 70 degrees two-theta):
two_theta, I_rel
13.9, 100
14.1, 34
14.9, 28
15.6, 52
19.6, 29
21.5, 57
26.9, 53
27.6, 47
27.9, 26
28.5, 31

a b c (Å): 6.6871 6.8876 8.7213
angles (deg): 103.26 99.22 104.61
Element x y z (fractional)
Na (0.0390, 0.3072, 0.4463)
Na (0.9610, 0.6928, 0.5537)
Lu (0.3221, 0.6327, 0.2649)
Lu (0.6779, 0.3673, 0.7351)
P (0.2400, 0.4956, 0.8336)
P (0.4748, 0.1922, 0.3093)
P (0.5252, 0.8078, 0.6907)
P (0.7600, 0.5044, 0.1664)
H (0.2934, 0.8628, 0.8731)
H (0.4766, 0.1919, 0.0380)
H (0.5234, 0.8081, 0.9620)
H (0.7066, 0.1372, 0.1269)
C (0.3960, 0.7619, 0.8523)
C (0.6040, 0.2381, 0.1477)
O (0.0000, 0.0000, 0.0000)
O (0.0000, 0.0000, 0.5000)
O (0.0183, 0.4595, 0.7244)
O (0.2319, 0.4839, 0.0050)
O (0.3129, 0.3174, 0.3118)
O (0.3470, 0.3432, 0.7456)
O (0.3495, 0.7254, 0.5319)
O (0.3682, 0.9558, 0.2683)
O (0.6318, 0.0442, 0.7317)
O (0.6505, 0.2746, 0.4681)
O (0.6530, 0.6568, 0.2544)
O (0.6871, 0.6826, 0.6882)
O (0.7681, 0.5161, 0.9950)
O (0.9817, 0.5405, 0.2756)

---

# Hf2TaN3
Calculated powder diffractogram, Cu Kα. Input: a crystal structure in the Materials Project, relaxed with GGA-PBE.
No peak broadening, texture or thermal motion is included.

Main lines, sorted by position (5 to 70 degrees two-theta):
two_theta, I_rel
29.4, 3
33.5, 100
35.4, 75
45.2, 11
49.5, 38
59.9, 19
61.1, 39
68.1, 3

a b c (Å): 5.3491 5.3491 3.0330
angles (deg): 90.00 90.00 120.00
Element x y z (fractional)
Hf (0.3333, 0.6667, 0.0000)
Hf (0.6667, 0.3333, 0.0000)
Ta (0.0000, 0.0000, 0.5000)
N (0.0000, 0.5000, 0.5000)
N (0.5000, 0.0000, 0.5000)
N (0.5000, 0.5000, 0.5000)

---

# Na2In2GeSe6
Calculated powder diffractogram, Cu Kα. Input: a crystal structure in the Materials Project, relaxed with GGA-PBE.
No peak broadening, texture or thermal motion is included.

Main lines, sorted by position (5 to 70 degrees two-theta):
two_theta, I_rel
12.9, 100
15.8, 31
22.6, 27
24.3, 41
25.9, 35
27.1, 43
27.3, 70
28.0, 34
28.9, 35
38.6, 38

a b c (Å): 7.7055 7.7055 13.0685
angles (deg): 105.76 105.76 65.19
Element x y z (fractional)
Na (0.0746, 0.9254, 0.5000)
Na (0.0991, 0.4662, 0.8395)
Na (0.4662, 0.0991, 0.3395)
Na (0.9254, 0.0746, 0.0000)
In (0.3916, 0.5445, 0.1915)
In (0.5445, 0.3916, 0.6915)
In (0.5855, 0.7175, 0.9966)
In (0.7175, 0.5855, 0.4966)
Ge (0.4887, 0.9360, 0.7473)
Ge (0.9360, 0.4887, 0.2473)
Se (0.0430, 0.5302, 0.4381)
Se (0.2125, 0.2982, 0.1598)
Se (0.2626, 0.7084, 0.0212)
Se (0.2857, 0.7528, 0.7009)
Se (0.2982, 0.2125, 0.6598)
Se (0.3941, 0.7822, 0.3779)
Se (0.5302, 0.0430, 0.9381)
Se (0.7084, 0.2626, 0.5212)
Se (0.7528, 0.2857, 0.2009)
Se (0.7822, 0.3941, 0.8779)
Se (0.7859, 0.7956, 0.1923)
Se (0.7956, 0.7859, 0.6923)

---

# CeSe2
Calculated powder diffractogram, Cu Kα. Input: a crystal structure in the Materials Project, relaxed with GGA-PBE.
No peak broadening, texture or thermal motion is included.

Main lines, sorted by position (5 to 70 degrees two-theta):
two_theta, I_rel
12.3, 100
20.1, 30
24.7, 16
31.2, 33
35.2, 14
40.8, 22
42.8, 27
52.3, 15
55.0, 8
68.4, 10

a b c (Å): 8.8409 8.8409 8.8409
angles (deg): 60.00 60.00 60.00
Element x y z (fractional)
Ce (0.1250, 0.1250, 0.1250)
Ce (0.8750, 0.8750, 0.8750)
Se (0.0000, 0.0000, 0.0000)
Se (0.0000, 0.0000, 0.5000)
Se (0.0000, 0.5000, 0.0000)
Se (0.5000, 0.0000, 0.0000)